Diffraction record for Rb2VOsF6. The PXRD pattern is calculated, not measured: it uses a structure optimized by DFT (PBE+U) and Cu Kα (λ = 1.5418 Å).

Principal peaks in the range 15° ≤ 2θ ≤ 90°, by angle:
Position (°2θ)  intensity
18.01  28
20.82  10
29.61  100
34.87  17
42.37  37
46.39  8
52.54  41
61.47  23
69.66  12
85.05  14

Structure:
```
Rb2VOsF6
1.0
-3.019 3.019 4.261
3.019 -3.019 4.261
3.019 3.019 -4.261
Rb V Os F
2 1 1 6
Direct
0.250 0.750 0.500 Rb
0.750 0.250 0.500 Rb
0.000 0.000 0.000 V
0.500 0.500 0.000 Os
0.250 0.250 0.000 F
0.250 0.250 0.499 F
0.250 0.750 0.000 F
0.750 0.250 0.000 F
0.750 0.750 0.000 F
0.750 0.750 0.501 F
```